Entry 1:
For HfPa3As4, a crystal structure in Alexandria, relaxed with GGA-PBE gives the simulated X-ray powder pattern in this record (a wavelength of 1.5418 Å).

Main lines, by angle (15° ≤ 2θ ≤ 90°):
two_theta	Rel. int.	hkl
26.99	21.1	1 2 -1
27.20	20.7	2 0 0
31.39	100.0	1 2 1
44.71	12.7	0 4 0
44.98	49.9	1 2 -3
55.64	13.3	2 4 -2

Structure:
abc: 6.9599 8.1073 6.9776
angles: 90.00 109.79 90.00
Space group P2/c (No. 13)
Unique sites:
Hf1 0.0000 0.1260 0.2500 (multiplicity 2)
Pa1 0.0000 0.3738 0.7500 (multiplicity 2)
Pa2 0.5000 0.1257 0.7500 (multiplicity 2)
Pa3 0.5000 0.3746 0.2500 (multiplicity 2)
As1 0.2369 0.1171 0.0002 (multiplicity 4)
As2 0.2425 0.3679 0.4925 (multiplicity 4)

Entry 2:
For Hf2ZrPaAs4, a crystal structure in Alexandria, relaxed with GGA-PBE gives the simulated X-ray powder pattern in this record (a wavelength of 1.5418 Å).

Main lines, by angle (15° ≤ 2θ ≤ 90°):
two_theta	Rel. int.	hkl
27.78	13.2	1 1 -1
32.38	100.0	1 1 1
45.98	12.7	0 2 0
46.37	24.4	1 1 -3
46.55	24.4	3 1 -1
57.38	13.1	2 2 -2

Structure:
abc: 6.7328 3.9477 6.7650
angles: 90.00 109.85 90.00
Space group P2/m (No. 10)
Unique sites:
Hf1 0.0000 0.0000 0.0000 (multiplicity 1)
Hf2 0.5000 0.5000 0.0000 (multiplicity 1)
Zr1 0.0000 0.5000 0.5000 (multiplicity 1)
Pa1 0.5000 0.0000 0.5000 (multiplicity 1)
As1 0.2392 0.5000 0.2358 (multiplicity 2)
As2 0.2480 0.0000 0.7588 (multiplicity 2)

Entry 3:
For HfAsPd4, a crystal structure in Alexandria, relaxed with GGA-PBE gives the simulated X-ray powder pattern in this record (a wavelength of 1.5418 Å).

Main lines, by angle (15° ≤ 2θ ≤ 90°):
two_theta	Rel. int.	hkl
37.33	66.4	1 1 0
41.22	100.0	1 0 3
53.82	22.9	2 0 0
69.97	40.9	2 1 3
77.67	15.1	1 1 6
89.50	10.9	2 0 6

Structure:
abc: 3.4069 3.4069 8.5770
angles: 90.00 90.00 90.00
Space group P4/mmm (No. 123)
Unique sites:
Hf1 0.0000 0.0000 0.0000 (multiplicity 1)
As1 0.5000 0.5000 0.5000 (multiplicity 1)
Pd1 0.0000 0.0000 0.3378 (multiplicity 2)
Pd2 0.5000 0.5000 0.1633 (multiplicity 2)

Entry 4:
For HfAs2Pd7, a crystal structure in Alexandria, relaxed with GGA-PBE gives the simulated X-ray powder pattern in this record (a wavelength of 1.5418 Å).

Main lines, by angle (15° ≤ 2θ ≤ 90°):
two_theta	Rel. int.	hkl
25.49	16.8	1 0 3
35.79	17.8	1 1 4
41.25	100.0	1 1 6
44.17	46.8	2 0 0
64.24	15.1	2 2 0
79.25	28.8	3 1 6

Structure:
abc: 4.1011 4.1011 20.0178
angles: 90.00 90.00 90.00
Space group I4/mmm (No. 139)
Unique sites:
Hf1 0.0000 0.0000 0.0000 (multiplicity 2)
As1 0.0000 0.0000 0.3256 (multiplicity 4)
Pd1 0.0000 0.0000 0.5000 (multiplicity 2)
Pd2 0.0000 0.5000 0.0978 (multiplicity 8)
Pd3 0.0000 0.5000 0.2500 (multiplicity 4)

Entry 5:
For HfAsPd, a crystal structure in Alexandria, relaxed with GGA-PBE gives the simulated X-ray powder pattern in this record (a wavelength of 1.5418 Å).

Main lines, by angle (15° ≤ 2θ ≤ 90°):
two_theta	Rel. int.	hkl
30.10	39.9	1 0 3
35.11	100.0	1 1 2
39.25	41.9	0 0 6
42.02	94.2	1 1 4
46.67	65.6	2 0 0
62.57	42.4	2 0 6

Structure:
abc: 3.8927 3.8927 13.7734
angles: 90.00 90.00 90.00
Space group I4/mmm (No. 139)
Unique sites:
Hf1 0.0000 0.0000 0.1683 (multiplicity 4)
As1 0.0000 0.0000 0.3625 (multiplicity 4)
Pd1 0.0000 0.5000 0.0000 (multiplicity 4)

Entry 6:
For TbPm2HfAs4, a crystal structure in Alexandria, relaxed with GGA-PBE gives the simulated X-ray powder pattern in this record (a wavelength of 1.5418 Å).

Main lines, by angle (15° ≤ 2θ ≤ 90°):
two_theta	Rel. int.	hkl
26.63	22.5	0 0 2
30.84	100.0	1 1 1
44.21	61.5	0 2 0
54.93	13.0	2 2 -2
73.05	16.2	1 3 1
81.40	14.4	3 3 -1

Structure:
abc: 7.0958 4.0944 7.1067
angles: 90.00 109.24 90.00
Space group P2/m (No. 10)
Unique sites:
Tb1 0.0000 0.0000 0.0000 (multiplicity 1)
Pm1 0.0000 0.5000 0.5000 (multiplicity 1)
Pm2 0.5000 0.0000 0.5000 (multiplicity 1)
Hf1 0.5000 0.5000 0.0000 (multiplicity 1)
As1 0.2555 0.5000 0.2360 (multiplicity 2)
As2 0.2661 0.0000 0.7702 (multiplicity 2)

Entry 7:
For PrHf2As4, a crystal structure in Alexandria, relaxed with GGA-PBE gives the simulated X-ray powder pattern in this record (a wavelength of 1.5418 Å).

Main lines, by angle (15° ≤ 2θ ≤ 90°):
two_theta	Rel. int.	hkl
24.86	88.7	0 2 3
30.90	70.6	1 3 0
31.65	100.0	1 3 1
33.90	83.2	1 3 2
42.41	72.2	1 1 5
47.15	57.8	1 5 3

Structure:
abc: 3.9300 12.8654 12.9371
angles: 90.00 90.00 90.00
Space group Cmcm (No. 63)
Unique sites:
Pr1 0.0000 0.1084 0.2500 (multiplicity 4)
Hf1 0.0000 0.3662 0.0576 (multiplicity 8)
As1 0.0000 0.0000 0.0000 (multiplicity 4)
As2 0.0000 0.2618 0.6239 (multiplicity 8)
As3 0.0000 0.4323 0.2500 (multiplicity 4)

Entry 8:
For PrHfAs2Rh5, a crystal structure in Alexandria, relaxed with GGA-PBE gives the simulated X-ray powder pattern in this record (a wavelength of 1.5418 Å).

Main lines, by angle (15° ≤ 2θ ≤ 90°):
two_theta	Rel. int.	hkl
27.35	86.8	1 0 2
31.91	46.6	1 1 1
35.13	80.0	1 1 2
39.99	45.3	1 1 3
44.07	93.6	2 0 0
46.08	100.0	1 1 4

Structure:
abc: 4.1093 4.1093 10.7188
angles: 90.00 90.00 90.00
Space group P4/mmm (No. 123)
Unique sites:
Pr1 0.0000 0.0000 0.0000 (multiplicity 1)
Hf1 0.0000 0.0000 0.5000 (multiplicity 1)
As1 0.5000 0.5000 0.2220 (multiplicity 2)
Rh1 0.0000 0.5000 0.3364 (multiplicity 4)
Rh2 0.5000 0.5000 0.0000 (multiplicity 1)